Starting from a DFT-relaxed cell (GGA-PBE, Alexandria), the PXRD pattern of NpGeSe4 was computed for Cu Kα.
Peak positions follow from Bragg's law for the DFT cell and can differ from measured ones.

Crystal structure
```
data_NpGeSe4
_symmetry_space_group_name_H-M 'P -4 2 c'
_symmetry_Int_Tables_number 112
_symmetry_space_group_name_Hall 'P -4 2c'
_cell_length_a 6.8607
_cell_length_b 6.8607
_cell_length_c 7.4653
_cell_angle_alpha 90.00
_cell_angle_beta 90.00
_cell_angle_gamma 90.00
loop_
_atom_site_label
_atom_site_type_symbol
_atom_site_fract_x
_atom_site_fract_y
_atom_site_fract_z
Np1 Np 0.0000 0.0000 0.0000
Ge1 Ge 0.0000 0.5000 0.2500
Se1 Se 0.2243 0.2435 0.7799
```

Main lines, low angle first (10° ≤ 2θ ≤ 90°):
h k l, d [Å], Position (°2θ), I_rel
1 0 0, 6.861, 12.90, 100
1 1 0, 4.851, 18.29, 16
1 0 2, 3.279, 27.20, 21
2 1 0, 3.068, 29.10, 17
1 1 2, 2.958, 30.21, 42
2 0 2, 2.526, 35.54, 51
2 2 0, 2.426, 37.06, 43
2 1 2, 2.370, 37.96, 30
3 1 2, 1.876, 48.54, 24
4 0 0, 1.715, 53.42, 14
2 2 4, 1.479, 62.82, 14
4 2 2, 1.419, 65.82, 15

Starting from a DFT-relaxed cell (GGA-PBE, Alexandria), the PXRD pattern of Na3Pu3HgSe8 was computed for Cu Kα.
Peak positions follow from Bragg's law for the DFT cell and can differ from measured ones.

Crystal structure
```
data_Na3Pu3HgSe8
_symmetry_space_group_name_H-M 'C 1 2/m 1'
_symmetry_Int_Tables_number 12
_symmetry_space_group_name_Hall '-C 2y'
_cell_length_a 14.4537
_cell_length_b 8.2274
_cell_length_c 8.4636
_cell_angle_alpha 90.00
_cell_angle_beta 124.77
_cell_angle_gamma 90.00
loop_
_atom_site_label
_atom_site_type_symbol
_atom_site_fract_x
_atom_site_fract_y
_atom_site_fract_z
Na1 Na 0.0000 0.0000 0.0000
Na2 Na 0.2500 0.2500 0.0000
Pu1 Pu 0.0000 0.5000 0.5000
Pu2 Pu 0.2500 0.2500 0.5000
Hg1 Hg 0.0000 0.0000 0.5000
Se1 Se 0.0093 0.2509 0.2743
Se2 Se 0.2417 0.5000 0.2643
Se3 Se 0.2428 0.5000 0.7308
```

Main lines, low angle first (10° ≤ 2θ ≤ 90°):
h k l, d [Å], Position (°2θ), I_rel
0 0 1, 6.952, 12.73, 100
4 0 -1, 3.560, 25.02, 19
2 2 -1, 3.524, 25.27, 31
4 0 0, 2.968, 30.11, 43
2 2 -2, 2.949, 30.30, 84
2 2 -3, 2.290, 39.35, 18
4 0 -4, 2.116, 42.74, 16
2 2 2, 2.106, 42.95, 32
6 2 -2, 2.079, 43.54, 31
0 4 0, 2.057, 44.02, 15
6 2 -3, 1.992, 45.54, 18
4 4 0, 1.691, 54.26, 16

Starting from a DFT-relaxed cell (GGA-PBE, Alexandria), the PXRD pattern of RbIn2SnRu was computed for Cu Kα.
Peak positions follow from Bragg's law for the DFT cell and can differ from measured ones.

Crystal structure
```
data_RbIn2SnRu
_symmetry_space_group_name_H-M 'P 4/m m m'
_symmetry_Int_Tables_number 123
_symmetry_space_group_name_Hall '-P 4 2'
_cell_length_a 5.2735
_cell_length_b 5.2735
_cell_length_c 5.1997
_cell_angle_alpha 90.00
_cell_angle_beta 90.00
_cell_angle_gamma 90.00
loop_
_atom_site_label
_atom_site_type_symbol
_atom_site_fract_x
_atom_site_fract_y
_atom_site_fract_z
Rb1 Rb 0.0000 0.0000 0.0000
In1 In 0.0000 0.5000 0.5000
Sn1 Sn 0.5000 0.5000 0.0000
Ru1 Ru 0.5000 0.5000 0.5000
```

Main lines, low angle first (10° ≤ 2θ ≤ 90°):
h k l, d [Å], Position (°2θ), I_rel
1 0 0, 5.274, 16.81, 32
0 0 1, 5.200, 17.05, 14
1 1 1, 3.030, 29.48, 100
2 0 0, 2.637, 34.00, 89
0 0 2, 2.600, 34.50, 43
2 2 0, 1.864, 48.85, 32
2 0 2, 1.851, 49.22, 62
3 1 1, 1.588, 58.09, 29
1 1 3, 1.572, 58.75, 14
2 2 2, 1.515, 61.17, 32
4 2 0, 1.179, 81.65, 14
4 0 2, 1.176, 81.94, 14

Starting from a DFT-relaxed cell (GGA-PBE, Alexandria), the PXRD pattern of PaGa2Br7 was computed for Cu Kα.
Peak positions follow from Bragg's law for the DFT cell and can differ from measured ones.

Crystal structure
```
data_PaGa2Br7
_symmetry_space_group_name_H-M 'C 1 2/c 1'
_symmetry_Int_Tables_number 15
_symmetry_space_group_name_Hall '-C 2yc'
_cell_length_a 17.3161
_cell_length_b 8.6804
_cell_length_c 13.3962
_cell_angle_alpha 90.00
_cell_angle_beta 122.76
_cell_angle_gamma 90.00
loop_
_atom_site_label
_atom_site_type_symbol
_atom_site_fract_x
_atom_site_fract_y
_atom_site_fract_z
Pa1 Pa 0.0000 0.1931 0.2500
Ga1 Ga 0.0768 0.2583 0.0185
Br1 Br 0.0000 0.1277 0.7500
Br2 Br 0.0417 0.4665 0.1615
Br3 Br 0.0867 0.1405 0.4945
Br4 Br 0.1698 0.1387 0.2864
```

Main lines, low angle first (10° ≤ 2θ ≤ 90°):
h k l, d [Å], Position (°2θ), I_rel
2 0 0, 7.281, 12.16, 100
1 1 -1, 7.204, 12.29, 54
1 1 1, 5.550, 15.97, 22
5 1 -2, 3.216, 27.74, 15
1 1 -4, 2.915, 30.67, 16
6 0 -2, 2.862, 31.26, 15
1 3 0, 2.838, 31.52, 27
0 0 4, 2.816, 31.78, 15
2 2 -4, 2.624, 34.17, 13
4 0 2, 2.502, 35.90, 11
3 3 -3, 2.401, 37.45, 13
6 2 -2, 2.389, 37.65, 18

Starting from a DFT-relaxed cell (GGA-PBE, Alexandria), the PXRD pattern of Dy6Tm2Ru was computed for Cu Kα.
Peak positions follow from Bragg's law for the DFT cell and can differ from measured ones.

Crystal structure
```
data_Dy6Tm2Ru
_symmetry_space_group_name_H-M 'P 1 2/m 1'
_symmetry_Int_Tables_number 10
_symmetry_space_group_name_Hall '-P 2y'
_cell_length_a 8.5603
_cell_length_b 3.6642
_cell_length_c 8.6710
_cell_angle_alpha 90.00
_cell_angle_beta 93.36
_cell_angle_gamma 90.00
loop_
_atom_site_label
_atom_site_type_symbol
_atom_site_fract_x
_atom_site_fract_y
_atom_site_fract_z
Dy1 Dy 0.0351 0.0000 0.1980
Dy2 Dy 0.2333 0.5000 0.5522
Dy3 Dy 0.4445 0.0000 0.2785
Tm1 Tm 0.3004 0.5000 0.9668
Ru1 Ru 0.0000 0.0000 0.5000
```

Main lines, low angle first (10° ≤ 2θ ≤ 90°):
h k l, d [Å], Position (°2θ), I_rel
1 1 -1, 3.163, 28.21, 18
2 0 2, 2.955, 30.24, 34
0 1 2, 2.797, 32.00, 47
2 1 0, 2.782, 32.17, 100
3 0 -1, 2.754, 32.51, 20
0 0 4, 2.166, 41.71, 18
0 2 0, 1.832, 49.77, 13
3 1 -3, 1.815, 50.27, 25
2 1 4, 1.677, 54.72, 17
2 2 2, 1.557, 59.35, 11
1 1 -5, 1.554, 59.47, 10
1 2 -3, 1.530, 60.50, 11

Starting from a DFT-relaxed cell (GGA-PBE, Alexandria), the PXRD pattern of Rb2VCl7 was computed for Cu Kα.
Peak positions follow from Bragg's law for the DFT cell and can differ from measured ones.

Crystal structure
```
data_Rb2VCl7
_symmetry_space_group_name_H-M 'C 1 2/c 1'
_symmetry_Int_Tables_number 15
_symmetry_space_group_name_Hall '-C 2yc'
_cell_length_a 16.8318
_cell_length_b 7.6137
_cell_length_c 12.3990
_cell_angle_alpha 90.00
_cell_angle_beta 129.07
_cell_angle_gamma 90.00
loop_
_atom_site_label
_atom_site_type_symbol
_atom_site_fract_x
_atom_site_fract_y
_atom_site_fract_z
Rb1 Rb 0.1311 0.1723 0.0444
V1 V 0.0000 0.2807 0.2500
Cl1 Cl 0.0000 0.4008 0.7500
Cl2 Cl 0.0807 0.2801 0.4820
Cl3 Cl 0.0965 0.0193 0.2703
Cl4 Cl 0.1581 0.3849 0.3021
```

Main lines, low angle first (10° ≤ 2θ ≤ 90°):
h k l, d [Å], Position (°2θ), I_rel
2 0 0, 6.540, 13.54, 67
1 1 1, 4.772, 18.60, 100
4 0 -2, 4.200, 21.15, 49
2 2 -1, 3.467, 25.69, 34
4 0 0, 3.267, 27.30, 40
0 2 2, 2.986, 29.93, 46
2 0 -4, 2.937, 30.43, 78
2 2 1, 2.848, 31.41, 56
4 2 -2, 2.821, 31.72, 51
4 2 -3, 2.677, 33.48, 33
0 0 4, 2.406, 37.37, 35
1 3 -2, 2.330, 38.65, 50